1.
Diffraction record for HgBiCl3. The powder diffractogram is computed, not measured: it uses a PBE-relaxed structure and Cu Kα.

Structure:
```
data_HgBiCl3
_symmetry_space_group_name_H-M 'R 3 c'
_symmetry_Int_Tables_number 161
_symmetry_space_group_name_Hall 'R 3 -2"c'
_cell_length_a 8.0853
_cell_length_b 8.0853
_cell_length_c 15.6161
_cell_angle_alpha 90.00
_cell_angle_beta 90.00
_cell_angle_gamma 120.00
loop_
_atom_site_label
_atom_site_fract_x
_atom_site_fract_y
_atom_site_fract_z
_atom_site_occupancy
Hg1 0.0000 0.0000 0.0000 1
Bi1 0.0000 0.0000 0.3048 1
Cl1 0.1356 0.3786 0.3395 1
```

The 10 most intense peaks (2θ = 15–90°), by intensity:
hkl, d_spacing, Rel. int.
1 1 0, 4.043, 100.0
1 1 6, 2.189, 61.6
0 0 6, 2.605, 52.7
1 0 4, 3.410, 36.3
3 0 6, 1.738, 29.7
3 0 0, 2.334, 28.3
2 2 0, 2.021, 24.1
2 2 6, 1.597, 22.3
1 4 6, 1.318, 18.3
0 1 2, 5.213, 16.5

=====

2.
Diffraction record for Ho3Cu2Os. The powder diffractogram is computed, not measured: it uses a PBE-relaxed structure and Cu Kα.

Structure:
```
data_Ho3Cu2Os
_symmetry_space_group_name_H-M 'C m m m'
_symmetry_Int_Tables_number 65
_symmetry_space_group_name_Hall '-C 2 2'
_cell_length_a 4.864
_cell_length_b 14.531
_cell_length_c 6.902
_cell_angle_alpha 90.00
_cell_angle_beta 90.00
_cell_angle_gamma 90.00
loop_
_atom_site_label
_atom_site_fract_x
_atom_site_fract_y
_atom_site_fract_z
_atom_site_occupancy
Ho1 0.000 0.000 0.241 1
Ho2 0.000 0.331 0.240 1
Cu1 0.000 0.166 0.500 1
Cu2 0.000 0.500 0.000 1
Cu3 0.000 0.500 0.500 1
Os1 0.000 0.165 0.000 1
```

The 10 most intense peaks (2θ = 15–90°), by intensity:
hkl, d_spacing, Rel. int.
2 0 0, 2.433, 100.0
3 3 2, 1.405, 21.0
0 6 0, 2.422, 19.8
2 6 0, 1.716, 13.9
1 9 2, 1.400, 13.8
4 0 0, 1.217, 10.8
2 0 4, 1.407, 6.9
0 0 4, 1.726, 6.9
1 3 6, 1.091, 6.1
1 3 0, 3.432, 4.0

=====

3.
Diffraction record for Li4Np2Cl9. The powder diffractogram is computed, not measured: it uses a PBE-relaxed structure and Cu Kα.

Structure:
```
data_Li4Np2Cl9
_symmetry_space_group_name_H-M 'P -3 c 1'
_symmetry_Int_Tables_number 165
_symmetry_space_group_name_Hall '-P 3 2"c'
_cell_length_a 6.6928
_cell_length_b 6.6928
_cell_length_c 18.5323
_cell_angle_alpha 90.00
_cell_angle_beta 90.00
_cell_angle_gamma 120.00
loop_
_atom_site_label
_atom_site_fract_x
_atom_site_fract_y
_atom_site_fract_z
_atom_site_occupancy
Li1 0.3333 0.6667 0.1719 1
Li2 0.3333 0.6667 0.4891 1
Np1 0.0000 0.0000 0.1472 1
Cl1 0.0000 0.3186 0.2500 1
Cl2 0.0188 0.3774 0.5812 1
```

The 10 most intense peaks (2θ = 15–90°), by intensity:
hkl, d_spacing, Rel. int.
1 0 0, 5.796, 100.0
1 0 4, 3.619, 51.9
1 1 6, 2.270, 28.1
1 1 4, 2.713, 27.1
2 0 0, 2.898, 26.0
2 0 4, 2.457, 25.0
1 2 4, 1.980, 23.2
1 0 6, 2.726, 22.2
2 1 0, 2.191, 19.9
3 0 0, 1.932, 18.5

=====

4.
Diffraction record for RbTlSnTe2. The powder diffractogram is computed, not measured: it uses a PBE-relaxed structure and Cu Kα.

Structure:
```
data_RbTlSnTe2
_symmetry_space_group_name_H-M 'C 1 2/m 1'
_symmetry_Int_Tables_number 12
_symmetry_space_group_name_Hall '-C 2y'
_cell_length_a 18.321
_cell_length_b 5.393
_cell_length_c 10.052
_cell_angle_alpha 90.00
_cell_angle_beta 120.63
_cell_angle_gamma 90.00
loop_
_atom_site_label
_atom_site_fract_x
_atom_site_fract_y
_atom_site_fract_z
_atom_site_occupancy
Rb1 0.121 0.000 0.291 1
Tl1 0.250 0.000 0.810 1
Sn1 0.055 0.500 0.734 1
Te1 0.118 0.000 0.919 1
Te2 0.140 0.500 0.557 1
```

The 10 most intense peaks (2θ = 15–90°), by intensity:
hkl, d_spacing, Rel. int.
3 1 1, 3.064, 100.0
0 2 0, 2.696, 43.9
3 1 -3, 2.844, 36.4
1 1 1, 4.108, 35.4
1 1 -2, 3.605, 30.2
6 0 -3, 2.767, 26.8
4 0 -2, 4.150, 23.3
5 1 -4, 2.240, 22.0
3 1 -4, 2.264, 21.2
7 1 -1, 2.279, 19.4

=====

5.
Diffraction record for Pm2Al2GaRh5. The powder diffractogram is computed, not measured: it uses a PBE-relaxed structure and Cu Kα.

Structure:
```
data_Pm2Al2GaRh5
_symmetry_space_group_name_H-M 'P 4/m b m'
_symmetry_Int_Tables_number 127
_symmetry_space_group_name_Hall '-P 4 2ab'
_cell_length_a 10.045
_cell_length_b 10.045
_cell_length_c 3.414
_cell_angle_alpha 90.00
_cell_angle_beta 90.00
_cell_angle_gamma 90.00
loop_
_atom_site_label
_atom_site_fract_x
_atom_site_fract_y
_atom_site_fract_z
_atom_site_occupancy
Pm1 0.175 0.325 0.000 1
Al1 0.125 0.625 0.000 1
Ga1 0.000 0.000 0.000 1
Rh1 0.000 0.500 0.500 1
Rh2 0.064 0.797 0.500 1
```

The 10 most intense peaks (2θ = 15–90°), by intensity:
hkl, d_spacing, Rel. int.
3 1 1, 2.326, 100.0
4 1 0, 2.436, 72.8
2 1 1, 2.718, 53.4
3 2 1, 2.158, 28.7
2 2 1, 2.461, 26.5
3 3 0, 2.368, 26.0
4 1 2, 1.398, 25.0
0 0 2, 1.707, 20.4
4 2 0, 2.246, 18.1
5 4 1, 1.425, 15.2

=====

6.
Diffraction record for PrB4Ru4. The powder diffractogram is computed, not measured: it uses a PBE-relaxed structure and Cu Kα.

Structure:
```
data_PrB4Ru4
_symmetry_space_group_name_H-M 'I 41/a c d'
_symmetry_Int_Tables_number 142
_cell_length_a 7.574
_cell_length_b 7.574
_cell_length_c 15.166
_cell_angle_alpha 90.00
_cell_angle_beta 90.00
_cell_angle_gamma 90.00
loop_
_symmetry_equiv_pos_as_xyz
'x,y,z'
'-x,-y,-z'
'-y+1/4,x+3/4,z+1/4'
'y+1/4,-x+3/4,-z+1/4'
'-x+1/2,-y,z+1/2'
'x+1/2,y,-z+1/2'
'y+1/4,-x+1/4,z+3/4'
'-y+1/4,x+1/4,-z+3/4'
'x,-y,-z+1/2'
'-x,y,z+1/2'
'-y+1/4,-x+1/4,-z+1/4'
'y+1/4,x+1/4,z+1/4'
'-x+1/2,y,-z'
'x+1/2,-y,z'
'y+1/4,x+3/4,-z+3/4'
'-y+1/4,-x+3/4,z+3/4'
'x+1/2,y+1/2,z+1/2'
'-x+1/2,-y+1/2,-z+1/2'
'-y+3/4,x+1/4,z+3/4'
'y+3/4,-x+1/4,-z+3/4'
'-x,-y+1/2,z'
'x,y+1/2,-z'
'y+3/4,-x+3/4,z+1/4'
'-y+3/4,x+3/4,-z+1/4'
'x+1/2,-y+1/2,-z'
'-x+1/2,y+1/2,z'
'-y+3/4,-x+3/4,-z+3/4'
'y+3/4,x+3/4,z+3/4'
'-x,y+1/2,-z+1/2'
'x,-y+1/2,z+1/2'
'y+3/4,x+1/4,-z+1/4'
'-y+3/4,-x+1/4,z+1/4'
loop_
_atom_site_label
_atom_site_fract_x
_atom_site_fract_y
_atom_site_fract_z
_atom_site_occupancy
Pr1 0.000 0.250 0.125 1
B1 0.144 0.083 0.293 1
Ru1 0.116 0.105 0.437 1
```

The 10 most intense peaks (2θ = 15–90°), by intensity:
hkl, d_spacing, Rel. int.
3 1 2, 2.284, 100.0
2 1 3, 2.814, 45.4
2 1 5, 2.260, 27.9
4 0 8, 1.339, 27.7
3 3 6, 1.458, 26.3
2 0 4, 2.679, 18.3
0 0 4, 3.789, 14.1
4 2 0, 1.694, 12.4
0 0 8, 1.894, 11.5
3 3 10, 1.155, 9.6

=====

7.
Diffraction record for Li2Nd3Zn7. The powder diffractogram is computed, not measured: it uses a PBE-relaxed structure and Cu Kα.

Structure:
```
data_Li2Nd3Zn7
_symmetry_space_group_name_H-M 'R -3 m'
_symmetry_Int_Tables_number 166
_symmetry_space_group_name_Hall '-R 3 2"'
_cell_length_a 5.5225
_cell_length_b 5.5225
_cell_length_c 26.5964
_cell_angle_alpha 90.00
_cell_angle_beta 90.00
_cell_angle_gamma 120.00
loop_
_atom_site_label
_atom_site_fract_x
_atom_site_fract_y
_atom_site_fract_z
_atom_site_occupancy
Li1 0.0000 0.0000 0.1671 1
Nd1 0.0000 0.0000 0.3624 1
Nd2 0.0000 0.0000 0.5000 1
Zn1 0.0000 0.0000 0.0000 1
Zn2 0.0010 0.5005 0.4191 1
```

The 10 most intense peaks (2θ = 15–90°), by intensity:
hkl, d_spacing, Rel. int.
1 1 6, 2.344, 100.0
1 0 7, 2.975, 88.8
0 1 8, 2.730, 86.7
0 2 1, 2.382, 83.1
1 1 0, 2.761, 43.6
1 2 8, 1.588, 32.7
2 2 0, 1.381, 31.7
2 0 2, 2.354, 31.0
2 1 7, 1.632, 30.1
2 0 14, 1.487, 26.7

=====

8.
Diffraction record for NbReP2Cl. The powder diffractogram is computed, not measured: it uses a PBE-relaxed structure and Cu Kα.

Structure:
```
data_NbReP2Cl
_symmetry_space_group_name_H-M 'P 4/m m m'
_symmetry_Int_Tables_number 123
_symmetry_space_group_name_Hall '-P 4 2'
_cell_length_a 4.551
_cell_length_b 4.551
_cell_length_c 5.031
_cell_angle_alpha 90.00
_cell_angle_beta 90.00
_cell_angle_gamma 90.00
loop_
_atom_site_label
_atom_site_fract_x
_atom_site_fract_y
_atom_site_fract_z
_atom_site_occupancy
Nb1 0.000 0.000 0.000 1
Re1 0.500 0.500 0.500 1
P1 0.000 0.500 0.500 1
Cl1 0.500 0.500 0.000 1
```

The 10 most intense peaks (2θ = 15–90°), by intensity:
hkl, d_spacing, Rel. int.
1 0 1, 3.375, 100.0
1 1 0, 3.218, 48.3
2 0 0, 2.276, 40.8
2 1 1, 1.887, 40.2
2 0 2, 1.688, 31.7
0 0 2, 2.516, 27.4
1 0 0, 4.551, 27.1
1 1 2, 1.982, 24.9
2 2 2, 1.356, 15.2
0 0 1, 5.031, 14.2

=====

9.
Diffraction record for Na4HgI6. The powder diffractogram is computed, not measured: it uses a PBE-relaxed structure and Cu Kα.

Structure:
```
data_Na4HgI6
_symmetry_space_group_name_H-M 'C 1 c 1'
_symmetry_Int_Tables_number 9
_symmetry_space_group_name_Hall 'C -2yc'
_cell_length_a 15.145
_cell_length_b 8.795
_cell_length_c 15.231
_cell_angle_alpha 90.00
_cell_angle_beta 111.61
_cell_angle_gamma 90.00
loop_
_atom_site_label
_atom_site_fract_x
_atom_site_fract_y
_atom_site_fract_z
_atom_site_occupancy
Na1 0.000 0.111 0.000 1
Na2 0.115 0.387 0.441 1
Na3 0.255 0.154 0.824 1
Na4 0.449 0.113 0.160 1
Hg1 0.204 0.300 0.228 1
I1 0.005 0.267 0.197 1
I2 0.078 0.281 0.861 1
I3 0.235 0.034 0.133 1
I4 0.246 0.424 0.666 1
I5 0.294 0.215 0.422 1
I6 0.446 0.267 0.977 1
```

The 10 most intense peaks (2θ = 15–90°), by intensity:
hkl, d_spacing, Rel. int.
0 2 0, 4.396, 100.0
4 0 -2, 3.744, 69.1
3 1 -1, 4.376, 59.4
1 1 3, 3.673, 49.2
2 0 -6, 2.537, 46.7
2 2 -2, 3.602, 46.7
2 0 2, 4.268, 36.9
2 2 -6, 2.198, 36.8
4 0 0, 3.520, 34.9
0 0 4, 3.540, 33.6

=====

What did the seventh record say?
Diffraction record for Li2Nd3Zn7. The powder diffractogram is computed, not measured: it uses a PBE-relaxed structure and Cu Kα.

Structure:
```
data_Li2Nd3Zn7
_symmetry_space_group_name_H-M 'R -3 m'
_symmetry_Int_Tables_number 166
_symmetry_space_group_name_Hall '-R 3 2"'
_cell_length_a 5.5225
_cell_length_b 5.5225
_cell_length_c 26.5964
_cell_angle_alpha 90.00
_cell_angle_beta 90.00
_cell_angle_gamma 120.00
loop_
_atom_site_label
_atom_site_fract_x
_atom_site_fract_y
_atom_site_fract_z
_atom_site_occupancy
Li1 0.0000 0.0000 0.1671 1
Nd1 0.0000 0.0000 0.3624 1
Nd2 0.0000 0.0000 0.5000 1
Zn1 0.0000 0.0000 0.0000 1
Zn2 0.0010 0.5005 0.4191 1
```

The 10 most intense peaks (2θ = 15–90°), by intensity:
hkl, d_spacing, Rel. int.
1 1 6, 2.344, 100.0
1 0 7, 2.975, 88.8
0 1 8, 2.730, 86.7
0 2 1, 2.382, 83.1
1 1 0, 2.761, 43.6
1 2 8, 1.588, 32.7
2 2 0, 1.381, 31.7
2 0 2, 2.354, 31.0
2 1 7, 1.632, 30.1
2 0 14, 1.487, 26.7